(1)
Structure and theoretical X-ray diffraction stick pattern of Mg2Mn3MoS8 (a PBE-relaxed structure; Cu Kα X-rays).
No peak broadening, texture or thermal motion is included.

Most intense lines, 2θ from 15° to 90°, in order of rising 2θ:
2theta, d/Å, I_rel, index
24.3, 3.658, 11, 0 2 0
28.3, 3.151, 27, 2 0 1
28.5, 3.131, 48, 3 1 -2
34.5, 2.598, 100, 4 0 0
45.4, 1.999, 27, 5 1 0
45.5, 1.994, 15, 6 0 -1
49.4, 1.845, 47, 2 2 2
49.9, 1.829, 46, 0 4 0
62.0, 1.496, 10, 4 4 0
72.8, 1.299, 13, 8 0 0

Structure:
Cell lengths 12.6581, 7.3227, 7.3733 Å; angles 90.00, 124.82, 90.00 degrees
Space group C2/m (No. 12)
Symmetry-distinct sites (fractional):
Mg (0.1274, 0.0000, 0.3824) x4
Mn (0.0000, 0.5000, 0.0000) x2
Mn (0.2500, 0.2500, 0.0000) x4
Mo (0.0000, 0.5000, 0.5000) x2
S (0.0096, 0.2716, 0.7572) x8
S (0.2362, 0.5000, 0.2087) x4
S (0.2379, 0.5000, 0.7573) x4

(2)
Structure and theoretical X-ray diffraction stick pattern of Ta2CrRu (a PBE-relaxed structure; Cu Kα X-rays).
No peak broadening, texture or thermal motion is included.

Most intense lines, 2θ from 15° to 90°, in order of rising 2θ:
2theta, d/Å, I_rel, index
24.6, 3.623, 2, 1 1 1
28.4, 3.138, 19, 2 0 0
40.7, 2.219, 100, 2 2 0
48.1, 1.892, 1, 3 1 1
50.4, 1.811, 6, 2 2 2
58.9, 1.569, 17, 4 0 0
64.8, 1.440, 1, 3 3 1
66.7, 1.403, 8, 4 2 0
74.0, 1.281, 34, 4 2 2
88.0, 1.109, 11, 4 4 0

Structure:
Cell lengths 6.2752, 6.2752, 6.2752 Å; angles 90.00, 90.00, 90.00 degrees
Space group Fm-3m (No. 225)
Symmetry-distinct sites (fractional):
Ta (0.2500, 0.2500, 0.2500) x8
Cr (0.0000, 0.0000, 0.0000) x4
Ru (0.0000, 0.0000, 0.5000) x4

(3)
Structure and theoretical X-ray diffraction stick pattern of Sc5P12Ir19 (a PBE-relaxed structure; Cu Kα X-rays).
No peak broadening, texture or thermal motion is included.

Most intense lines, 2θ from 15° to 90°, in order of rising 2θ:
2theta, d/Å, I_rel, index
21.4, 4.146, 17, 2 1 0
28.2, 3.166, 19, 2 2 0
31.5, 2.843, 21, 2 1 1
36.5, 2.460, 100, 2 2 1
37.5, 2.400, 14, 3 1 1
46.1, 1.970, 11, 5 1 0
46.5, 1.953, 19, 0 0 2
47.5, 1.913, 19, 5 0 1
49.9, 1.829, 18, 6 0 0
50.6, 1.803, 13, 4 3 0

Structure:
Cell lengths 12.6655, 12.6655, 3.9053 Å; angles 90.00, 90.00, 120.00 degrees
Space group P-62m (No. 189)
Symmetry-distinct sites (fractional):
Sc (0.0000, 0.8167, 0.0000) x3
Sc (0.3333, 0.6667, 0.5000) x2
P (0.0000, 0.1760, 0.5000) x3
P (0.0000, 0.6450, 0.5000) x3
P (0.1716, 0.4837, 0.0000) x6
Ir (0.0000, 0.0000, 0.5000) x1
Ir (0.0000, 0.2840, 0.0000) x3
Ir (0.0000, 0.4640, 0.5000) x3
Ir (0.1364, 0.6404, 0.0000) x6
Ir (0.1815, 0.3717, 0.5000) x6

(4)
Structure and theoretical X-ray diffraction stick pattern of Na8Bi5O14 (a PBE-relaxed structure; Cu Kα X-rays).
No peak broadening, texture or thermal motion is included.

Most intense lines, 2θ from 15° to 90°, in order of rising 2θ:
2theta, d/Å, I_rel, index
16.9, 5.261, 92, 1 0 -2
19.8, 4.485, 52, 1 -2 1
20.9, 4.245, 31, -1 1 2
24.1, 3.688, 95, 1 0 -3
30.2, 2.956, 57, 1 -3 2
33.6, 2.671, 100, -2 3 1
37.8, 2.378, 64, 3 -1 2
39.8, 2.266, 41, -4 1 1
44.0, 2.060, 42, 0 3 -5
45.2, 2.005, 37, 3 2 -3

Structure:
Cell lengths 9.1619, 9.2100, 11.5570 Å; angles 105.28, 100.77, 112.37 degrees
Space group P-1 (No. 2)
Symmetry-distinct sites (fractional):
Na (0.0000, 0.0000, 0.0000) x1
Na (0.0175, 0.4499, 0.6789) x2
Na (0.1064, 0.3805, 0.0147) x2
Na (0.1711, 0.3067, 0.3766) x2
Na (0.1894, 0.1941, 0.6741) x2
Na (0.2797, 0.6976, 0.4097) x2
Na (0.3764, 0.1121, 0.4667) x2
Na (0.4301, 0.5699, 0.1467) x2
Na (0.5000, 0.5000, 0.5000) x1
Bi (0.1397, 0.8494, 0.7107) x2
Bi (0.2023, 0.7731, 0.0810) x2
Bi (0.3191, 0.1897, 0.1110) x2
Bi (0.3416, 0.6032, 0.7681) x2
Bi (0.4677, 0.0373, 0.8097) x2
O (0.0249, 0.2018, 0.4738) x2
O (0.0461, 0.7472, 0.8469) x2
O (0.0977, 0.6542, 0.1794) x2
O (0.1526, 0.1065, 0.8837) x2
O (0.1682, 0.6159, 0.5775) x2
O (0.2113, 0.0554, 0.2042) x2
O (0.2306, 0.5369, 0.9139) x2
O (0.2789, 0.9643, 0.6219) x2
O (0.3005, 0.4177, 0.2473) x2
O (0.3214, 0.9286, 0.9414) x2
O (0.3517, 0.3677, 0.6267) x2
O (0.4065, 0.8413, 0.2878) x2
O (0.4428, 0.2897, 0.0051) x2
O (0.4915, 0.2203, 0.3079) x2

(5)
Structure and theoretical X-ray diffraction stick pattern of SmGa (a PBE-relaxed structure; Cu Kα X-rays).
No peak broadening, texture or thermal motion is included.

Most intense lines, 2θ from 15° to 90°, in order of rising 2θ:
2theta, d/Å, I_rel, index
26.8, 3.331, 25, 0 2 1
30.6, 2.921, 100, 1 1 1
31.4, 2.852, 47, 1 3 0
32.0, 2.796, 25, 0 4 0
38.3, 2.350, 51, 1 3 1
38.8, 2.318, 20, 0 4 1
40.8, 2.213, 26, 2 0 0
43.7, 2.074, 21, 0 0 2
54.7, 1.677, 19, 1 3 2
61.3, 1.513, 16, 2 0 2

Structure:
Cell lengths 4.4267, 11.1846, 4.1471 Å; angles 90.00, 90.00, 90.00 degrees
Space group Cmcm (No. 63)
Symmetry-distinct sites (fractional):
Sm (0.0000, 0.1406, 0.2500) x4
Ga (0.0000, 0.4279, 0.2500) x4

(6)
Structure and theoretical X-ray diffraction stick pattern of TmTl3 (a PBE-relaxed structure; Cu Kα X-rays).
No peak broadening, texture or thermal motion is included.

Most intense lines, 2θ from 15° to 90°, in order of rising 2θ:
2theta, d/Å, I_rel, index
32.6, 2.748, 100, 1 1 1
37.8, 2.380, 51, 2 0 0
54.5, 1.683, 36, 2 2 0
65.0, 1.435, 42, 3 1 1
68.3, 1.374, 12, 2 2 2
80.8, 1.190, 6, 4 0 0
89.8, 1.092, 19, 3 3 1

Structure:
Cell lengths 4.7590, 4.7590, 4.7590 Å; angles 90.00, 90.00, 90.00 degrees
Space group Pm-3m (No. 221)
Symmetry-distinct sites (fractional):
Tm (0.0000, 0.0000, 0.0000) x1
Tl (0.0000, 0.5000, 0.5000) x3